This entry pairs a crystal structure of LaPr5Bi4 with its theoretical powder diffraction line list. Radiation: Cu Kα (weighted mean of Kα1 and Kα2). Structure: a cell relaxed with PBE.
Kinematic intensities with the Lorentz-polarization factor, no thermal factor.

The 8 most intense peaks (2θ = 5–70°), in order of rising 2θ:
2theta	I (rel.)
19.67	42
21.51	79
26.65	38
32.14	27
33.70	100
36.72	29
38.60	22
39.00	29

Structure:
```
data_LaPr5Bi4
_cell_length_a 9.7900
_cell_length_b 11.1396
_cell_length_c 7.7026
_cell_angle_alpha 90.00
_cell_angle_beta 90.00
_cell_angle_gamma 90.00
_symmetry_space_group_name_H-M 'P m m n'
_symmetry_Int_Tables_number 59
loop_
_symmetry_equiv_pos_as_xyz
'x,y,z'
'-x,-y,-z'
'-x+1/2,-y+1/2,z'
'x+1/2,y+1/2,-z'
'x+1/2,-y,-z'
'-x+1/2,y,z'
'-x,y+1/2,-z'
'x,-y+1/2,z'
loop_
_atom_site_label
_atom_site_type_symbol
_atom_site_fract_x
_atom_site_fract_y
_atom_site_fract_z
La1 La 0.2500 0.2500 0.1458
Pr1 Pr 0.0147 0.0463 0.7368
Pr2 Pr 0.2500 0.7500 0.7863
Bi1 Bi 0.0197 0.2500 0.4436
Bi2 Bi 0.2500 0.5209 0.0189
```

---

This entry pairs a crystal structure of La2Pr2Bi3 with its theoretical powder diffraction line list. Radiation: Cu Kα (weighted mean of Kα1 and Kα2). Structure: a cell relaxed with PBE.
Kinematic intensities with the Lorentz-polarization factor, no thermal factor.

The 8 most intense peaks (2θ = 5–70°), in order of rising 2θ:
2theta	I (rel.)
22.17	15
28.74	100
34.15	65
41.10	21
43.20	15
47.18	21
57.87	32
61.15	15

Structure:
```
data_La2Pr2Bi3
_cell_length_a 9.8226
_cell_length_b 9.8226
_cell_length_c 9.8226
_cell_angle_alpha 90.00
_cell_angle_beta 90.00
_cell_angle_gamma 90.00
_symmetry_space_group_name_H-M 'I 21 3'
_symmetry_Int_Tables_number 199
_symmetry_space_group_name_Hall 'I 2b 2c 3'
loop_
_atom_site_label
_atom_site_type_symbol
_atom_site_fract_x
_atom_site_fract_y
_atom_site_fract_z
La1 La 0.0724 0.0724 0.0724
Pr1 Pr 0.1797 0.3203 0.6797
Bi1 Bi 0.0000 0.2500 0.3787
```

---

This entry pairs a crystal structure of La2PrSmBi5 with its theoretical powder diffraction line list. Radiation: Cu Kα (weighted mean of Kα1 and Kα2). Structure: a cell relaxed with PBE.
Kinematic intensities with the Lorentz-polarization factor, no thermal factor.

The 8 most intense peaks (2θ = 5–70°), in order of rising 2θ:
2theta	I (rel.)
22.75	57
23.91	53
27.10	42
29.33	59
31.78	45
32.39	100
44.25	79
55.90	40

Structure:
```
data_La2PrSmBi5
_cell_length_a 5.5286
_cell_length_b 5.5286
_cell_length_c 12.1800
_cell_angle_alpha 90.00
_cell_angle_beta 90.00
_cell_angle_gamma 90.00
_symmetry_space_group_name_H-M 'P 4/m m m'
_symmetry_Int_Tables_number 123
_symmetry_space_group_name_Hall '-P 4 2'
loop_
_atom_site_label
_atom_site_type_symbol
_atom_site_fract_x
_atom_site_fract_y
_atom_site_fract_z
La1 La 0.0000 0.0000 0.2225
Pr1 Pr 0.5000 0.5000 0.5000
Sm1 Sm 0.5000 0.5000 0.0000
Bi1 Bi 0.0000 0.0000 0.5000
Bi2 Bi 0.0000 0.5000 0.0000
Bi3 Bi 0.5000 0.5000 0.2513
```

---

This entry pairs a crystal structure of LaPr2ThBi4 with its theoretical powder diffraction line list. Radiation: Cu Kα (weighted mean of Kα1 and Kα2). Structure: a cell relaxed with PBE.
Kinematic intensities with the Lorentz-polarization factor, no thermal factor.

The 8 most intense peaks (2θ = 5–70°), in order of rising 2θ:
2theta	I (rel.)
23.46	3
27.16	100
38.79	79
47.96	22
48.09	7
56.01	14
63.30	26
63.41	13

Structure:
```
data_LaPr2ThBi4
_cell_length_a 8.0274
_cell_length_b 4.6485
_cell_length_c 8.0495
_cell_angle_alpha 90.00
_cell_angle_beta 109.47
_cell_angle_gamma 90.00
_symmetry_space_group_name_H-M 'P 1 2/m 1'
_symmetry_Int_Tables_number 10
loop_
_symmetry_equiv_pos_as_xyz
'x,y,z'
'-x,-y,-z'
'-x,y,-z'
'x,-y,z'
loop_
_atom_site_label
_atom_site_type_symbol
_atom_site_fract_x
_atom_site_fract_y
_atom_site_fract_z
La1 La 0.0000 0.0000 0.0000
Pr1 Pr 0.5000 0.0000 0.5000
Pr2 Pr 0.5000 0.5000 0.0000
Th1 Th 0.0000 0.5000 0.5000
Bi1 Bi 0.2482 0.0000 0.7467
Bi2 Bi 0.2496 0.5000 0.2532
```

---

This entry pairs a crystal structure of La4BiRh2 with its theoretical powder diffraction line list. Radiation: Cu Kα (weighted mean of Kα1 and Kα2). Structure: a cell relaxed with PBE.
Kinematic intensities with the Lorentz-polarization factor, no thermal factor.

The 8 most intense peaks (2θ = 5–70°), in order of rising 2θ:
2theta	I (rel.)
28.51	40
29.72	99
30.60	43
30.91	100
33.45	59
34.78	34
36.55	31
37.03	34

Structure:
```
data_La4BiRh2
_cell_length_a 12.7908
_cell_length_b 14.3624
_cell_length_c 9.1054
_cell_angle_alpha 90.00
_cell_angle_beta 90.00
_cell_angle_gamma 90.00
_symmetry_space_group_name_H-M 'F d d 2'
_symmetry_Int_Tables_number 43
_symmetry_space_group_name_Hall 'F 2 -2d'
loop_
_atom_site_label
_atom_site_type_symbol
_atom_site_fract_x
_atom_site_fract_y
_atom_site_fract_z
La1 La 0.0554 0.1167 0.0000
La2 La 0.1222 0.1918 0.5807
Bi1 Bi 0.0000 0.0000 0.6627
Rh1 Rh 0.0723 0.1753 0.2876
```

---

This entry pairs a crystal structure of LaBi3Rh2 with its theoretical powder diffraction line list. Radiation: Cu Kα (weighted mean of Kα1 and Kα2). Structure: a cell relaxed with PBE.
Kinematic intensities with the Lorentz-polarization factor, no thermal factor.

The 8 most intense peaks (2θ = 5–70°), in order of rising 2θ:
2theta	I (rel.)
30.82	32
30.93	100
32.57	62
37.02	33
37.47	36
39.33	43
44.45	19
55.45	20

Structure:
```
data_LaBi3Rh2
_cell_length_a 4.5819
_cell_length_b 8.5908
_cell_length_c 7.4973
_cell_angle_alpha 90.00
_cell_angle_beta 90.00
_cell_angle_gamma 90.00
_symmetry_space_group_name_H-M 'P m c 21'
_symmetry_Int_Tables_number 26
loop_
_symmetry_equiv_pos_as_xyz
'x,y,z'
'-x,-y,z+1/2'
'-x,y,z'
'x,-y,z+1/2'
loop_
_atom_site_label
_atom_site_type_symbol
_atom_site_fract_x
_atom_site_fract_y
_atom_site_fract_z
La1 La 0.0000 0.0717 0.0000
Bi1 Bi 0.0000 0.3412 0.6276
Bi2 Bi 0.5000 0.1683 0.3343
Bi3 Bi 0.5000 0.3919 0.9755
Rh1 Rh 0.0000 0.3361 0.2346
Rh2 Rh 0.5000 0.1498 0.7194
```

---

This entry pairs a crystal structure of La2Bi2Rh3 with its theoretical powder diffraction line list. Radiation: Cu Kα (weighted mean of Kα1 and Kα2). Structure: a cell relaxed with PBE.
Kinematic intensities with the Lorentz-polarization factor, no thermal factor.

The 8 most intense peaks (2θ = 5–70°), in order of rising 2θ:
2theta	I (rel.)
28.49	100
31.94	53
37.99	80
40.73	50
48.17	34
52.67	27
56.92	24
58.96	23

Structure:
```
data_La2Bi2Rh3
_cell_length_a 8.8613
_cell_length_b 8.8613
_cell_length_c 8.8613
_cell_angle_alpha 90.00
_cell_angle_beta 90.00
_cell_angle_gamma 90.00
_symmetry_space_group_name_H-M 'I 21 3'
_symmetry_Int_Tables_number 199
_symmetry_space_group_name_Hall 'I 2b 2c 3'
loop_
_atom_site_label
_atom_site_type_symbol
_atom_site_fract_x
_atom_site_fract_y
_atom_site_fract_z
La1 La 0.2385 0.2385 0.2385
Bi1 Bi 0.0459 0.4541 0.5459
Rh1 Rh 0.0000 0.2500 0.0229
```

---

This entry pairs a crystal structure of La2BiRh with its theoretical powder diffraction line list. Radiation: Cu Kα (weighted mean of Kα1 and Kα2). Structure: a cell relaxed with PBE.
Kinematic intensities with the Lorentz-polarization factor, no thermal factor.

The 8 most intense peaks (2θ = 5–70°), in order of rising 2θ:
2theta	I (rel.)
27.31	37
30.30	83
30.51	100
34.89	16
43.39	25
43.54	62
59.03	29
63.15	17

Structure:
```
data_La2BiRh
_cell_length_a 8.3422
_cell_length_b 8.3422
_cell_length_c 6.7530
_cell_angle_alpha 90.00
_cell_angle_beta 90.00
_cell_angle_gamma 90.00
_symmetry_space_group_name_H-M 'I -4 2 d'
_symmetry_Int_Tables_number 122
_symmetry_space_group_name_Hall 'I -4 2bw'
loop_
_atom_site_label
_atom_site_type_symbol
_atom_site_fract_x
_atom_site_fract_y
_atom_site_fract_z
La1 La 0.1913 0.2500 0.1250
Bi1 Bi 0.0000 0.0000 0.5000
Rh1 Rh 0.0000 0.0000 0.0000
```

---

This entry pairs a crystal structure of La4Bi6Rh7 with its theoretical powder diffraction line list. Radiation: Cu Kα (weighted mean of Kα1 and Kα2). Structure: a cell relaxed with PBE.
Kinematic intensities with the Lorentz-polarization factor, no thermal factor.

The 8 most intense peaks (2θ = 5–70°), in order of rising 2θ:
2theta	I (rel.)
30.75	30
33.77	100
39.19	59
41.68	41
46.32	25
56.63	24
67.59	18
69.32	17

Structure:
```
data_La4Bi6Rh7
_cell_length_a 9.1938
_cell_length_b 9.1938
_cell_length_c 9.1938
_cell_angle_alpha 90.00
_cell_angle_beta 90.00
_cell_angle_gamma 90.00
_symmetry_space_group_name_H-M 'I m -3 m'
_symmetry_Int_Tables_number 229
_symmetry_space_group_name_Hall '-I 4 2 3'
loop_
_atom_site_label
_atom_site_type_symbol
_atom_site_fract_x
_atom_site_fract_y
_atom_site_fract_z
La1 La 0.2500 0.2500 0.2500
Bi1 Bi 0.0000 0.0000 0.3182
Rh1 Rh 0.0000 0.0000 0.0000
Rh2 Rh 0.0000 0.2500 0.5000
```

---

This entry pairs a crystal structure of La3Bi2Sb2Rh4 with its theoretical powder diffraction line list. Radiation: Cu Kα (weighted mean of Kα1 and Kα2). Structure: a cell relaxed with PBE.
Kinematic intensities with the Lorentz-polarization factor, no thermal factor.

The 8 most intense peaks (2θ = 5–70°), in order of rising 2θ:
2theta	I (rel.)
29.11	50
33.76	71
38.31	100
39.03	26
51.98	21
60.80	23
66.39	20
69.28	17

Structure:
```
data_La3Bi2Sb2Rh4
_cell_length_a 4.6985
_cell_length_b 4.6985
_cell_length_c 14.0108
_cell_angle_alpha 90.00
_cell_angle_beta 90.00
_cell_angle_gamma 120.00
_symmetry_space_group_name_H-M 'P -3 m 1'
_symmetry_Int_Tables_number 164
_symmetry_space_group_name_Hall '-P 3 2"'
loop_
_atom_site_label
_atom_site_type_symbol
_atom_site_fract_x
_atom_site_fract_y
_atom_site_fract_z
La1 La 0.0000 0.0000 0.0000
La2 La 0.0000 0.0000 0.2741
Bi1 Bi 0.3333 0.6667 0.5689
Sb1 Sb 0.3333 0.6667 0.1518
Rh1 Rh 0.3333 0.6667 0.3685
Rh2 Rh 0.3333 0.6667 0.8741
```